The following is a theoretical powder XRD pattern of Eu2MgAg2W4O16. It was derived from DFT lattice parameters and positions (PBE+U), using Cu Kα.
Intensities are scaled so that the largest is 100.

Structure:
```
data_Eu2MgAg2W4O16
_chemical_formula_sum 'Eu4 Mg2 Ag4 W8 O32'
_cell_length_a 10.7724
_cell_length_b 11.5408
_cell_length_c 7.3620
_cell_angle_alpha 90.00
_cell_angle_beta 128.23
_cell_angle_gamma 90.00
_symmetry_space_group_name_H-M 'C 1 2/m 1'
_symmetry_Int_Tables_number 12
loop_
_symmetry_equiv_pos_as_xyz
'x,y,z'
'-x,-y,-z'
'-x,y,-z'
'x,-y,z'
'x+1/2,y+1/2,z'
'-x+1/2,-y+1/2,-z'
'-x+1/2,y+1/2,-z'
'x+1/2,-y+1/2,z'
loop_
_atom_site_label
_atom_site_fract_x
_atom_site_fract_y
_atom_site_fract_z
Eu1 0.0000 0.2088 0.0000
Mg1 0.0000 0.5000 0.0000
Ag1 0.1898 0.0000 0.5241
W1 0.0000 0.3471 0.5000
W2 0.2429 0.5000 0.9772
O1 0.0110 0.5000 0.3287
O2 0.0408 0.0000 0.8355
O3 0.0466 0.2507 0.3579
O4 0.1760 0.3877 0.0915
O5 0.2249 0.3797 0.7635
```

Principal peaks in the range 2θ from 10° to 90°, sorted by position:
| Position (°2θ) | I_rel | index |
| --- | --- | --- |
| 26.1 | 100 | 2 2 0 |
| 26.3 | 19 | 3 1 -1 |
| 28.8 | 43 | 2 2 -2 |
| 30.9 | 43 | 0 0 2 |
| 33.1 | 19 | 1 3 1 |
| 39.7 | 15 | 2 4 -2 |
| 42.7 | 15 | 4 0 0 |
| 50.7 | 18 | 4 4 -3 |